Entry 1:
Simulated powder diffraction line list of TbNi4As2 for copper Kα, from the PBE geometry in the Materials Project.

Main lines, by intensity (2θ = 5–70°):
h k l, 2θ (°), I_rel
2 1 1, 36.5, 100.0
3 1 1, 46.3, 45.9
3 1 0, 39.3, 39.7
2 2 1, 42.6, 28.7
0 0 2, 48.2, 27.5
2 2 0, 35.0, 25.8
4 3 1, 69.4, 21.0
3 1 2, 63.9, 18.2
4 1 0, 52.0, 15.3
1 0 1, 26.6, 13.5

Structure:
abc: 7.252 7.252 3.775
angles: 90.00 90.00 90.00
Sites, in units of the cell vectors:
Tb 0.000 0.000 0.000
Tb 0.500 0.500 0.500
Ni 0.089 0.346 0.500
Ni 0.154 0.589 0.000
Ni 0.346 0.089 0.500
Ni 0.411 0.846 0.000
Ni 0.589 0.154 0.000
Ni 0.654 0.911 0.500
Ni 0.846 0.411 0.000
Ni 0.911 0.654 0.500
As 0.217 0.783 0.500
As 0.283 0.283 0.000
As 0.717 0.717 0.000
As 0.783 0.217 0.500

=====

Entry 2:
Simulated powder diffraction line list of Tb2NiAs2 for copper Kα, from the PBE geometry in the Materials Project.

Main lines, by intensity (2θ = 5–70°):
h k l, 2θ (°), I_rel
1 0 3, 31.3, 100.0
1 1 0, 43.8, 69.2
1 0 4, 35.6, 56.9
1 1 8, 69.8, 32.9
1 0 1, 25.7, 27.0
1 0 5, 40.5, 26.0
2 0 3, 54.9, 20.5
2 0 4, 57.7, 13.8
0 0 8, 51.4, 12.5
1 0 7, 51.7, 9.8

Structure:
abc: 4.131 4.131 14.225
angles: 90.00 90.00 120.00
Sites, in units of the cell vectors:
Tb 0.333 0.667 0.000
Tb 0.333 0.667 0.266
Tb 0.667 0.333 0.500
Tb 0.667 0.333 0.766
Ni 0.000 0.000 0.145
Ni 0.000 0.000 0.645
As 0.000 0.000 0.381
As 0.000 0.000 0.881
As 0.333 0.667 0.630
As 0.667 0.333 0.130

=====

Entry 3:
Simulated powder diffraction line list of TiNiAs for copper Kα, from the PBE geometry in the Materials Project.

Main lines, by intensity (2θ = 5–70°):
h k l, 2θ (°), I_rel
2 1 1, 39.6, 100.0
1 1 2, 37.7, 58.9
0 1 3, 45.1, 56.9
0 2 0, 48.5, 49.1
1 1 3, 47.5, 36.8
3 0 2, 50.7, 28.6
3 0 1, 45.3, 26.6
2 1 0, 37.4, 24.4
3 1 1, 51.8, 20.4
0 1 1, 26.9, 17.7

Structure:
abc: 6.254 3.751 7.135
angles: 90.00 90.00 90.00
Sites, in units of the cell vectors:
Ti 0.026 0.250 0.179
Ti 0.474 0.750 0.679
Ti 0.526 0.250 0.321
Ti 0.974 0.750 0.821
Ni 0.146 0.250 0.562
Ni 0.354 0.750 0.062
Ni 0.646 0.250 0.938
Ni 0.854 0.750 0.438
As 0.235 0.750 0.378
As 0.265 0.250 0.878
As 0.735 0.750 0.122
As 0.765 0.250 0.622

=====

Entry 4:
Simulated powder diffraction line list of TmNiAs for copper Kα, from the PBE geometry in the Materials Project.

Main lines, by intensity (2θ = 5–70°):
h k l, 2θ (°), I_rel
1 0 4, 34.9, 100.0
1 1 0, 45.0, 41.8
2 0 4, 58.2, 22.8
1 1 8, 67.9, 22.3
1 0 0, 25.5, 18.1
0 0 8, 47.9, 10.7
1 0 8, 55.1, 5.3
2 0 0, 52.4, 2.7
1 0 7, 49.5, 1.0
1 0 3, 31.1, 1.0

Structure:
abc: 4.029 4.029 15.180
angles: 90.00 90.00 120.00
Sites, in units of the cell vectors:
Tm 0.000 0.000 0.000
Tm 0.000 0.000 0.250
Tm 0.000 0.000 0.500
Tm 0.000 0.000 0.750
Ni 0.333 0.667 0.136
Ni 0.333 0.667 0.364
Ni 0.667 0.333 0.636
Ni 0.667 0.333 0.864
As 0.333 0.667 0.620
As 0.333 0.667 0.880
As 0.667 0.333 0.120
As 0.667 0.333 0.380

=====

Entry 5:
Simulated powder diffraction line list of TmNi4As2 for copper Kα, from the PBE geometry in the Materials Project.

Main lines, by intensity (2θ = 5–70°):
h k l, 2θ (°), I_rel
2 1 1, 36.7, 100.0
3 1 1, 46.6, 41.8
3 1 0, 39.6, 39.3
0 0 2, 48.2, 26.6
2 2 1, 42.9, 26.5
2 2 0, 35.3, 25.5
4 3 1, 69.9, 21.0
3 1 2, 64.1, 18.4
1 0 1, 26.7, 15.5
4 1 0, 52.4, 14.0

Structure:
abc: 7.198 7.198 3.774
angles: 90.00 90.00 90.00
Sites, in units of the cell vectors:
Tm 0.000 0.000 0.000
Tm 0.500 0.500 0.500
Ni 0.089 0.346 0.500
Ni 0.154 0.589 0.000
Ni 0.346 0.089 0.500
Ni 0.411 0.846 0.000
Ni 0.589 0.154 0.000
Ni 0.654 0.911 0.500
Ni 0.846 0.411 0.000
Ni 0.911 0.654 0.500
As 0.217 0.783 0.500
As 0.283 0.283 0.000
As 0.717 0.717 0.000
As 0.783 0.217 0.500

=====

Entry 6:
Simulated powder diffraction line list of Tm2NiAs2 for copper Kα, from the PBE geometry in the Materials Project.

Main lines, by intensity (2θ = 5–70°):
h k l, 2θ (°), I_rel
1 0 3, 31.8, 100.0
1 1 0, 44.4, 68.7
1 0 4, 36.2, 57.3
1 0 1, 26.0, 30.6
1 0 5, 41.3, 26.6
2 0 3, 55.7, 20.5
2 0 4, 58.6, 13.9
0 0 8, 52.5, 12.8
1 0 7, 52.8, 10.2
2 0 5, 62.3, 7.9

Structure:
abc: 4.077 4.077 13.937
angles: 90.00 90.00 120.00
Sites, in units of the cell vectors:
Tm 0.333 0.667 0.118
Tm 0.333 0.667 0.382
Tm 0.667 0.333 0.618
Tm 0.667 0.333 0.882
Ni 0.000 0.000 0.250
Ni 0.000 0.000 0.750
As 0.000 0.000 0.000
As 0.000 0.000 0.500
As 0.333 0.667 0.750
As 0.667 0.333 0.250

=====

Entry 7:
Simulated powder diffraction line list of Tm2NiAs2 for copper Kα, from the PBE geometry in the Materials Project.

Main lines, by intensity (2θ = 5–70°):
h k l, 2θ (°), I_rel
1 0 3, 31.9, 100.0
1 1 0, 44.3, 69.6
1 0 4, 36.4, 55.9
1 0 1, 26.0, 30.9
1 0 5, 41.5, 26.3
0 0 8, 53.1, 22.1
2 0 3, 55.6, 20.7
2 0 4, 58.6, 13.8
2 0 1, 52.1, 8.8
2 0 5, 62.3, 7.9

Structure:
abc: 4.087 4.087 13.807
angles: 90.00 90.00 120.00
Sites, in units of the cell vectors:
Tm 0.333 0.667 0.000
Tm 0.333 0.667 0.265
Tm 0.667 0.333 0.500
Tm 0.667 0.333 0.765
Ni 0.000 0.000 0.119
Ni 0.000 0.000 0.619
As 0.000 0.000 0.384
As 0.000 0.000 0.884
As 0.333 0.667 0.637
As 0.667 0.333 0.137

=====

Entry 8:
Simulated powder diffraction line list of TmNiAs for copper Kα, from the PBE geometry in the Materials Project.

Main lines, by intensity (2θ = 5–70°):
h k l, 2θ (°), I_rel
1 0 1, 34.9, 100.0
1 1 0, 45.0, 41.0
1 1 2, 67.7, 23.8
2 0 1, 58.1, 22.7
1 0 0, 25.5, 17.9
0 0 2, 47.7, 11.5
1 0 2, 54.9, 4.7
2 0 0, 52.4, 2.7

Structure:
abc: 4.030 4.030 3.812
angles: 90.00 90.00 120.00
Sites, in units of the cell vectors:
Tm 0.000 0.000 0.000
Ni 0.333 0.667 0.500
As 0.667 0.333 0.500

=====

Entry 9:
Simulated powder diffraction line list of Tm5Zr3Ni16As12 for copper Kα, from the PBE geometry in the Materials Project.

Main lines, by intensity (2θ = 5–70°):
h k l, 2θ (°), I_rel
2 2 1, 36.5, 100.0
3 1 1, 37.4, 77.0
6 0 0, 49.7, 34.6
0 0 2, 46.8, 34.5
3 0 1, 33.6, 27.4
4 3 1, 56.0, 21.3
3 1 0, 29.2, 12.6
5 1 0, 45.9, 11.9
3 3 1, 48.9, 11.0
4 1 2, 61.3, 10.6

Structure:
abc: 12.721 12.721 3.886
angles: 90.00 90.00 120.00
Sites, in units of the cell vectors:
Tm 0.000 0.181 0.000
Tm 0.181 0.000 0.000
Tm 0.333 0.667 0.500
Tm 0.667 0.333 0.500
Tm 0.819 0.819 0.000
Zr 0.000 0.562 0.500
Zr 0.438 0.438 0.500
Zr 0.562 0.000 0.500
Ni 0.000 0.000 0.500
Ni 0.000 0.724 0.000
Ni 0.121 0.481 0.000
Ni 0.182 0.808 0.500
Ni 0.192 0.374 0.500
Ni 0.276 0.276 0.000
Ni 0.360 0.879 0.000
Ni 0.374 0.192 0.500
Ni 0.481 0.121 0.000
Ni 0.519 0.640 0.000
Ni 0.626 0.818 0.500
Ni 0.640 0.519 0.000
Ni 0.724 0.000 0.000
Ni 0.808 0.182 0.500
Ni 0.818 0.626 0.500
Ni 0.879 0.360 0.000
As 0.000 0.354 0.500
As 0.000 0.823 0.500
As 0.173 0.692 0.000
As 0.177 0.177 0.500
As 0.308 0.481 0.000
As 0.354 0.000 0.500
As 0.481 0.308 0.000
As 0.519 0.827 0.000
As 0.646 0.646 0.500
As 0.692 0.173 0.000
As 0.823 0.000 0.500
As 0.827 0.519 0.000

=====

Entry 10:
Simulated powder diffraction line list of UNiAs for copper Kα, from the PBE geometry in the Materials Project.

Main lines, by intensity (2θ = 5–70°):
h k l, 2θ (°), I_rel
1 0 4, 34.7, 100.0
1 1 0, 44.7, 38.3
1 0 0, 25.4, 29.6
2 0 4, 57.8, 23.5
1 1 8, 67.3, 21.4
0 0 8, 47.5, 10.0
1 0 8, 54.6, 8.7
2 0 0, 52.1, 4.6
0 0 4, 23.3, 3.6
1 1 4, 51.0, 3.3

Structure:
abc: 4.055 4.055 15.299
angles: 90.00 90.00 120.00
Sites, in units of the cell vectors:
U 0.000 0.000 0.000
U 0.000 0.000 0.250
U 0.000 0.000 0.500
U 0.000 0.000 0.750
Ni 0.333 0.667 0.137
Ni 0.333 0.667 0.363
Ni 0.667 0.333 0.637
Ni 0.667 0.333 0.863
As 0.333 0.667 0.621
As 0.333 0.667 0.879
As 0.667 0.333 0.121
As 0.667 0.333 0.379

=====

Entry 11:
Simulated powder diffraction line list of VNiAs for copper Kα, from the PBE geometry in the Materials Project.

Main lines, by intensity (2θ = 5–70°):
h k l, 2θ (°), I_rel
2 1 1, 40.6, 100.0
1 1 2, 38.1, 65.0
0 1 3, 45.4, 50.4
0 2 0, 49.3, 49.9
1 1 3, 48.0, 38.2
3 0 2, 52.3, 29.4
2 1 0, 38.5, 27.5
3 0 1, 47.0, 23.4
2 1 3, 55.2, 18.4
3 1 1, 53.5, 18.3

Structure:
abc: 6.025 3.700 7.121
angles: 90.00 90.00 90.00
Sites, in units of the cell vectors:
V 0.027 0.250 0.170
V 0.473 0.750 0.670
V 0.527 0.250 0.330
V 0.973 0.750 0.830
Ni 0.146 0.250 0.564
Ni 0.354 0.750 0.064
Ni 0.646 0.250 0.936
Ni 0.854 0.750 0.436
As 0.240 0.750 0.376
As 0.260 0.250 0.876
As 0.740 0.750 0.124
As 0.760 0.250 0.624

=====

Entry 12:
Simulated powder diffraction line list of YNiAs for copper Kα, from the PBE geometry in the Materials Project.

Main lines, by intensity (2θ = 5–70°):
h k l, 2θ (°), I_rel
1 0 1, 34.2, 100.0
1 1 0, 44.4, 48.9
1 1 2, 66.3, 28.3
2 0 1, 57.2, 21.8
0 0 2, 46.5, 14.2
0 0 1, 22.8, 4.9
1 1 1, 50.5, 3.3
1 0 0, 25.2, 2.1
1 0 2, 53.6, 0.5

Structure:
abc: 4.079 4.079 3.907
angles: 90.00 90.00 120.00
Sites, in units of the cell vectors:
Y 0.000 0.000 0.000
Ni 0.667 0.333 0.500
As 0.333 0.667 0.500